Entry 1:
For Hf3As4Pd4, a DFT-relaxed cell (GGA-PBE, OQMD) gives the theoretical powder diffraction line list in this record (CuKα).
Lines closer than 0.1° are merged.

Most intense lines, 10 to 80 degrees two-theta, by intensity:
d [Å]	2theta	I/Imax
2.136	42.31	100
3.502	25.43	57
2.161	41.79	52
1.243	76.66	34
5.442	16.29	20
1.839	49.56	18
1.528	60.59	17
1.229	77.73	17

Crystal structure
abc: 6.1134 6.1134 11.9469
angles: 90.00 90.00 90.00
Space group I-42m (No. 121)
Inequivalent atoms, fractional coordinates:
Hf  0.0000  0.0000  0.0000 [2 per cell]
Hf  0.0000  0.5000  0.2500 [4 per cell]
As  0.0000  0.0000  0.2520 [4 per cell]
As  0.0000  0.5000  0.0000 [4 per cell]
Pd  0.2491  0.2491  0.6259 [8 per cell]

Entry 2:
For PmPrO3, a DFT-relaxed cell (GGA-PBE, OQMD) gives the theoretical powder diffraction line list in this record (CuKα).
Lines closer than 0.1° are merged.

Most intense lines, 10 to 80 degrees two-theta, by intensity:
d [Å]	2theta	I/Imax
2.907	30.76	100
1.916	47.46	32
3.318	26.87	28
1.719	53.29	28
3.015	29.63	28
1.617	56.95	27
2.231	40.43	26
1.600	57.62	18

Crystal structure
abc: 3.8315 3.8315 6.0292
angles: 90.00 90.00 120.00
Space group P3m1 (No. 156)
Inequivalent atoms, fractional coordinates:
Pm  0.0000  0.0000  0.0000 [1 per cell]
Pr  0.3333  0.6667  0.4947 [1 per cell]
O  0.0000  0.0000  0.6115 [1 per cell]
O  0.3333  0.6667  0.8997 [1 per cell]
O  0.6667  0.3333  0.2498 [1 per cell]

Entry 3:
For Ho2SeOF2, a DFT-relaxed cell (GGA-PBE, OQMD) gives the theoretical powder diffraction line list in this record (CuKα).
Lines closer than 0.1° are merged.

Most intense lines, 10 to 80 degrees two-theta, by intensity:
d [Å]	2theta	I/Imax
3.164	28.20	100
2.802	31.94	97
2.647	33.87	74
1.827	49.92	44
2.456	36.59	42
1.637	56.19	38
2.401	37.46	37
6.587	13.44	34

Crystal structure
abc: 13.1746 13.1746 3.6854
angles: 90.00 90.00 120.00
Space group P6_3/m (No. 176)
Inequivalent atoms, fractional coordinates:
Ho  0.0554  0.7674  0.2500 [6 per cell]
Ho  0.1180  0.5154  0.2500 [6 per cell]
Se  0.2069  0.7188  0.7500 [6 per cell]
O  0.0141  0.4260  0.7500 [6 per cell]
F  0.0675  0.3147  0.2500 [6 per cell]
F  0.0988  0.8959  0.7500 [6 per cell]

Entry 4:
For Gd3BS3O3, a DFT-relaxed cell (GGA-PBE, OQMD) gives the theoretical powder diffraction line list in this record (CuKα).
Lines closer than 0.1° are merged.

Most intense lines, 10 to 80 degrees two-theta, by intensity:
d [Å]	2theta	I/Imax
3.716	23.95	100
3.095	28.85	44
3.614	24.63	39
2.728	32.83	31
1.982	45.79	29
2.747	32.59	24
3.756	23.69	23
2.273	39.64	22

Crystal structure
abc: 3.9639 7.5749 11.1555
angles: 91.49 91.04 90.38
Space group P-1 (No. 2)
Inequivalent atoms, fractional coordinates:
Gd  0.2279  0.2364  0.0058 [2 per cell]
Gd  0.2313  0.6300  0.6767 [2 per cell]
Gd  0.2619  0.1397  0.6477 [2 per cell]
B  0.3889  0.5610  0.1487 [2 per cell]
S  0.2387  0.6254  0.4189 [2 per cell]
S  0.2509  0.9412  0.8595 [2 per cell]
S  0.2532  0.1158  0.3951 [2 per cell]
O  0.2634  0.6318  0.0444 [2 per cell]
O  0.2741  0.4005  0.1890 [2 per cell]
O  0.3210  0.3625  0.8011 [2 per cell]